Structure and computed powder diffraction line list of Np2ZnF11 (the PBE geometry in Alexandria; Cu Kα, 1.54184 Å).
Neutral-atom scattering factors, no anomalous dispersion.

The 10 most intense peaks (2θ = 10–90°), by intensity:
2θ = 23.80°, intensity 100, hkl 2 1 1; 2θ = 16.46°, intensity 55, hkl 0 0 2; 2θ = 24.49°, intensity 52, hkl 0 2 2; 2θ = 33.59°, intensity 35, hkl 2 1 3; 2θ = 44.90°, intensity 33, hkl 4 0 2; 2θ = 22.31°, intensity 29, hkl 1 2 1; 2θ = 21.39°, intensity 29, hkl 1 1 2; 2θ = 18.00°, intensity 22, hkl 0 2 0; 2θ = 44.75°, intensity 15, hkl 1 3 4; 2θ = 45.87°, intensity 13, hkl 1 4 3

Crystal structure
abc: 8.717 9.855 10.768
angles: 90.00 90.00 90.00
Space group Ibam (No. 72)
Unique sites:
Np 0.133 0.197 0.000 [8 per cell]
Zn 0.000 0.500 0.250 [4 per cell]
F 0.000 0.000 0.000 [4 per cell]
F 0.072 0.354 0.136 [16 per cell]
F 0.143 0.212 0.500 [8 per cell]
F 0.235 0.090 0.143 [16 per cell]



Structure and computed powder diffraction line list of Li2Au3 (the PBE geometry in Alexandria; Cu Kα, 1.54184 Å).
Neutral-atom scattering factors, no anomalous dispersion.

The 10 most intense peaks (2θ = 10–90°), by intensity:
2θ = 38.76°, intensity 100, hkl 1 2 1; 2θ = 22.38°, intensity 40, hkl 0 0 1; 2θ = 31.24°, intensity 39, hkl 1 2 0; 2θ = 44.76°, intensity 35, hkl 3 1 0; 2θ = 78.47°, intensity 26, hkl 5 0 1; 2θ = 65.87°, intensity 22, hkl 3 1 2; 2θ = 50.60°, intensity 19, hkl 3 1 1; 2θ = 45.67°, intensity 16, hkl 0 0 2; 2θ = 56.37°, intensity 15, hkl 1 2 2; 2θ = 79.79°, intensity 13, hkl 1 2 3

Crystal structure
abc: 6.403 6.403 3.973
angles: 90.00 90.00 90.00
Space group P4/m (No. 83)
Unique sites:
Li 0.108 0.696 0.000 [4 per cell]
Au 0.000 0.000 0.500 [1 per cell]
Au 0.193 0.393 0.500 [4 per cell]
Au 0.500 0.500 0.000 [1 per cell]



Structure and computed powder diffraction line list of RbSmAgO3 (the PBE geometry in Alexandria; Cu Kα, 1.54184 Å).
Neutral-atom scattering factors, no anomalous dispersion.

The 10 most intense peaks (2θ = 10–90°), by intensity:
2θ = 13.76°, intensity 100, hkl 1 0 -1; 2θ = 33.84°, intensity 83, hkl 2 1 0; 2θ = 27.72°, intensity 52, hkl 2 0 -2; 2θ = 31.68°, intensity 44, hkl 0 1 2; 2θ = 50.10°, intensity 24, hkl 2 1 -4; 2θ = 30.90°, intensity 23, hkl 0 0 3; 2θ = 29.60°, intensity 23, hkl 1 1 1; 2θ = 54.50°, intensity 19, hkl 4 1 -2; 2θ = 57.22°, intensity 19, hkl 2 2 -2; 2θ = 48.98°, intensity 19, hkl 0 2 0

Crystal structure
abc: 7.735 3.719 8.898
angles: 90.00 102.68 90.00
Space group P2_1/m (No. 11)
Unique sites:
Rb 0.171 0.250 0.193 [2 per cell]
Sm 0.357 0.750 0.856 [2 per cell]
Ag 0.124 0.250 0.581 [2 per cell]
O 0.153 0.250 0.843 [2 per cell]
O 0.238 0.750 0.574 [2 per cell]
O 0.445 0.750 0.118 [2 per cell]